No. 1
For Pm6Y2Si, a GGA-PBE-relaxed structure gives the computed powder X-ray diffraction pattern in this record (copper Kα).
Lines closer than 0.1° are merged.

Structure:
```
data_Pm6Y2Si
_cell_length_a 3.6341
_cell_length_b 3.6341
_cell_length_c 25.5713
_cell_angle_alpha 90.00
_cell_angle_beta 90.00
_cell_angle_gamma 120.00
_symmetry_space_group_name_H-M 'P -6 m 2'
_symmetry_Int_Tables_number 187
_symmetry_space_group_name_Hall 'P -6 2'
loop_
_atom_site_label
_atom_site_type_symbol
_atom_site_fract_x
_atom_site_fract_y
_atom_site_fract_z
_atom_site_occupancy
Pm1 Pm 0.0000 0.0000 0.0697 1
Pm2 Pm 0.0000 0.0000 0.2947 1
Pm3 Pm 0.3333 0.6667 0.4147 1
Y1 Y 0.3333 0.6667 0.1807 1
Si1 Si 0.0000 0.0000 0.5000 1
```

Largest 8 diffraction maxima, in order of falling intensity, 2θ = 10–90°:
2θ (°), I_rel, hkl
33.43, 100, 1 0 5
28.36, 40, 1 0 0
50.21, 31, 1 1 0
30.27, 30, 1 0 3
58.42, 28, 1 1 8
27.91, 23, 0 0 8
83.42, 23, 1 1 17
28.58, 20, 1 0 1



No. 2
For Pm2YSi2, a GGA-PBE-relaxed structure gives the computed powder X-ray diffraction pattern in this record (copper Kα).
Lines closer than 0.1° are merged.

Structure:
```
data_Pm2YSi2
_cell_length_a 7.595
_cell_length_b 7.595
_cell_length_c 4.356
_cell_angle_alpha 90.00
_cell_angle_beta 90.00
_cell_angle_gamma 90.00
_symmetry_space_group_name_H-M 'P 4/m b m'
_symmetry_Int_Tables_number 127
_symmetry_space_group_name_Hall '-P 4 2ab'
loop_
_atom_site_label
_atom_site_type_symbol
_atom_site_fract_x
_atom_site_fract_y
_atom_site_fract_z
_atom_site_occupancy
Pm1 Pm 0.177 0.323 0.000 1
Y1 Y 0.000 0.000 0.500 1
Si1 Si 0.115 0.615 0.500 1
```

Largest 8 diffraction maxima, in order of falling intensity, 2θ = 10–90°:
2θ (°), I_rel, hkl
33.44, 100, 2 1 1
31.25, 64, 2 0 1
26.24, 39, 2 1 0
37.45, 30, 3 1 0
54.04, 24, 4 1 1
55.50, 21, 3 3 1
41.46, 19, 0 0 2
26.34, 18, 1 1 1



No. 3
For Pm3Zn9Si2, a GGA-PBE-relaxed structure gives the computed powder X-ray diffraction pattern in this record (copper Kα).
Lines closer than 0.1° are merged.

Structure:
```
data_Pm3Zn9Si2
_cell_length_a 4.324
_cell_length_b 9.733
_cell_length_c 12.387
_cell_angle_alpha 90.00
_cell_angle_beta 90.00
_cell_angle_gamma 90.00
_symmetry_space_group_name_H-M 'I m m m'
_symmetry_Int_Tables_number 71
_symmetry_space_group_name_Hall '-I 2 2'
loop_
_atom_site_label
_atom_site_type_symbol
_atom_site_fract_x
_atom_site_fract_y
_atom_site_fract_z
_atom_site_occupancy
Pm1 Pm 0.000 0.000 0.000 1
Pm2 Pm 0.000 0.000 0.315 1
Zn1 Zn 0.000 0.273 0.137 1
Zn2 Zn 0.000 0.370 0.336 1
Zn3 Zn 0.000 0.500 0.000 1
Si1 Si 0.000 0.219 0.500 1
```

Largest 8 diffraction maxima, in order of falling intensity, 2θ = 10–90°:
2θ (°), I_rel, hkl
35.25, 100, 1 2 3
34.56, 35, 1 3 0
41.78, 29, 2 0 0
29.92, 25, 1 0 3
43.85, 16, 0 0 6
56.99, 15, 1 3 6
36.91, 14, 0 4 0
34.32, 14, 0 2 4



No. 4
For Pm6ZnSi2, a GGA-PBE-relaxed structure gives the computed powder X-ray diffraction pattern in this record (copper Kα).
Lines closer than 0.1° are merged.

Structure:
```
data_Pm6ZnSi2
_cell_length_a 9.827
_cell_length_b 9.919
_cell_length_c 10.295
_cell_angle_alpha 90.00
_cell_angle_beta 90.00
_cell_angle_gamma 90.00
_symmetry_space_group_name_H-M 'I m m m'
_symmetry_Int_Tables_number 71
_symmetry_space_group_name_Hall '-I 2 2'
loop_
_atom_site_label
_atom_site_type_symbol
_atom_site_fract_x
_atom_site_fract_y
_atom_site_fract_z
_atom_site_occupancy
Pm1 Pm 0.000 0.199 0.250 1
Pm2 Pm 0.206 0.500 0.174 1
Pm3 Pm 0.233 0.324 0.500 1
Zn1 Zn 0.000 0.000 0.000 1
Zn2 Zn 0.000 0.000 0.500 1
Si1 Si 0.000 0.362 0.000 1
Si2 Si 0.000 0.500 0.385 1
```

Largest 8 diffraction maxima, in order of falling intensity, 2θ = 10–90°:
2θ (°), I_rel, hkl
30.95, 100, 2 2 2
33.82, 40, 2 3 1
33.10, 37, 2 1 3
33.48, 36, 1 3 2
36.58, 28, 4 0 0
27.50, 27, 0 1 3
56.81, 26, 2 0 6
25.06, 24, 2 0 2